[1]
Computed XRD peak list of KAl2Br7 for Cu Kα (weighted mean of Kα1 and Kα2), from DFT lattice parameters and positions (GGA-PBE).
Kinematic intensities with the Lorentz-polarization factor, no thermal factor.

Peak list (6 most intense, 2θ from 10° to 80°, by intensity)
d (Å), two_theta, I/Imax
3.154, 28.29, 100
3.013, 29.65, 63
3.426, 26.01, 62
3.282, 27.17, 60
6.058, 14.62, 59
3.366, 26.48, 45

Crystal structure
```
data_KAl2Br7
_chemical_formula_sum 'K4 Al8 Br28'
_cell_length_a 11.091
_cell_length_b 11.749
_cell_length_c 14.253
_cell_angle_alpha 90.00
_cell_angle_beta 122.41
_cell_angle_gamma 90.00
_space_group_name_H-M_alt 'P 1'
_space_group_IT_number 1
loop_
_space_group_symop_operation_xyz
'x,y,z'
loop_
_atom_site_label
_atom_site_type_symbol
_atom_site_fract_x
_atom_site_fract_y
_atom_site_fract_z
K1 K 0.095 0.135 0.379
K2 K 0.095 0.365 0.879
K3 K 0.905 0.635 0.121
K4 K 0.905 0.865 0.621
Al1 Al 0.184 0.738 0.454
Al2 Al 0.184 0.762 0.954
Al3 Al 0.389 0.224 0.800
Al4 Al 0.389 0.276 0.300
Al5 Al 0.611 0.724 0.700
Al6 Al 0.611 0.776 0.200
Al7 Al 0.816 0.238 0.046
Al8 Al 0.816 0.262 0.546
Br1 Br 0.001 0.609 0.395
Br2 Br 0.001 0.891 0.895
Br3 Br 0.173 0.610 0.053
Br4 Br 0.173 0.890 0.553
Br5 Br 0.207 0.703 0.811
Br6 Br 0.207 0.797 0.311
Br7 Br 0.221 0.112 0.804
Br8 Br 0.221 0.388 0.304
Br9 Br 0.369 0.236 0.631
Br10 Br 0.369 0.264 0.131
Br11 Br 0.388 0.617 0.581
Br12 Br 0.388 0.883 0.081
Br13 Br 0.410 0.101 0.379
Br14 Br 0.410 0.399 0.879
Br15 Br 0.590 0.601 0.121
Br16 Br 0.590 0.899 0.621
Br17 Br 0.612 0.117 0.919
Br18 Br 0.612 0.383 0.419
Br19 Br 0.631 0.736 0.869
Br20 Br 0.631 0.764 0.369
Br21 Br 0.779 0.612 0.696
Br22 Br 0.779 0.888 0.196
Br23 Br 0.793 0.203 0.689
Br24 Br 0.793 0.297 0.189
Br25 Br 0.827 0.110 0.447
Br26 Br 0.827 0.390 0.947
Br27 Br 0.999 0.109 0.105
Br28 Br 0.999 0.391 0.605
```

=====

[2]
Computed XRD peak list of LaDyC for Cu Kα (weighted mean of Kα1 and Kα2), from DFT lattice parameters and positions (GGA-PBE).
Kinematic intensities with the Lorentz-polarization factor, no thermal factor.

Peak list (6 most intense, 2θ from 10° to 80°, by intensity)
d (Å), two_theta, I/Imax
3.000, 29.78, 100
2.693, 33.28, 76
3.054, 29.24, 49
3.285, 27.14, 49
1.830, 49.82, 41
2.615, 34.29, 38

Crystal structure
```
data_LaDyC
_chemical_formula_sum 'La4 Dy4 C4'
_cell_length_a 13.409
_cell_length_b 3.663
_cell_length_c 6.342
_cell_angle_alpha 90.00
_cell_angle_beta 101.48
_cell_angle_gamma 90.00
_space_group_name_H-M_alt 'P 1'
_space_group_IT_number 1
loop_
_space_group_symop_operation_xyz
'x,y,z'
loop_
_atom_site_label
_atom_site_type_symbol
_atom_site_fract_x
_atom_site_fract_y
_atom_site_fract_z
La1 La 0.139 0.000 0.367
La2 La 0.361 0.500 0.633
La3 La 0.639 0.500 0.367
La4 La 0.861 0.000 0.633
Dy1 Dy 0.149 0.500 0.876
Dy2 Dy 0.351 0.000 0.124
Dy3 Dy 0.649 0.000 0.876
Dy4 Dy 0.851 0.500 0.124
C1 C 0.247 0.000 0.760
C2 C 0.253 0.500 0.240
C3 C 0.747 0.500 0.760
C4 C 0.753 0.000 0.240
```

=====

[3]
Computed XRD peak list of ReAs2 for Cu Kα (weighted mean of Kα1 and Kα2), from DFT lattice parameters and positions (GGA-PBE).
Kinematic intensities with the Lorentz-polarization factor, no thermal factor.

Peak list (6 most intense, 2θ from 10° to 80°, by intensity)
d (Å), two_theta, I/Imax
5.766, 15.37, 100
2.595, 34.57, 86
2.509, 35.79, 40
1.916, 47.46, 32
2.097, 43.15, 22
2.147, 42.09, 21

Crystal structure
```
data_ReAs2
_chemical_formula_sum 'Re2 As4'
_cell_length_a 5.884
_cell_length_b 3.114
_cell_length_c 6.260
_cell_angle_alpha 90.00
_cell_angle_beta 101.49
_cell_angle_gamma 90.00
_space_group_name_H-M_alt 'P 1'
_space_group_IT_number 1
loop_
_space_group_symop_operation_xyz
'x,y,z'
loop_
_atom_site_label
_atom_site_type_symbol
_atom_site_fract_x
_atom_site_fract_y
_atom_site_fract_z
Re1 Re 0.022 0.250 0.190
Re2 Re 0.978 0.750 0.810
As1 As 0.209 0.250 0.605
As2 As 0.334 0.750 0.123
As3 As 0.666 0.250 0.877
As4 As 0.791 0.750 0.395
```

=====

[4]
Computed XRD peak list of K2Ho2AuO6 for Cu Kα (weighted mean of Kα1 and Kα2), from DFT lattice parameters and positions (GGA-PBE).
Kinematic intensities with the Lorentz-polarization factor, no thermal factor.

Peak list (6 most intense, 2θ from 10° to 80°, by intensity)
d (Å), two_theta, I/Imax
6.378, 13.89, 100
2.522, 35.60, 42
2.793, 32.05, 30
3.189, 27.98, 24
2.909, 30.73, 24
2.448, 36.71, 19

Crystal structure
```
data_K2Ho2AuO6
_chemical_formula_sum 'K2 Ho2 Au1 O6'
_cell_length_a 5.873
_cell_length_b 5.873
_cell_length_c 6.605
_cell_angle_alpha 97.41
_cell_angle_beta 97.41
_cell_angle_gamma 120.57
_space_group_name_H-M_alt 'P 1'
_space_group_IT_number 1
loop_
_space_group_symop_operation_xyz
'x,y,z'
loop_
_atom_site_label
_atom_site_type_symbol
_atom_site_fract_x
_atom_site_fract_y
_atom_site_fract_z
K1 K 0.159 0.841 0.000
K2 K 0.841 0.159 0.000
Ho1 Ho 0.334 0.666 0.500
Ho2 Ho 0.666 0.334 0.500
Au1 Au 0.000 0.000 0.500
O1 O 0.049 0.388 0.683
O2 O 0.253 0.253 0.331
O3 O 0.388 0.049 0.683
O4 O 0.612 0.951 0.317
O5 O 0.747 0.747 0.669
O6 O 0.951 0.612 0.317
```

=====

[5]
Computed XRD peak list of Sc3GaIr4 for Cu Kα (weighted mean of Kα1 and Kα2), from DFT lattice parameters and positions (GGA-PBE).
Kinematic intensities with the Lorentz-polarization factor, no thermal factor.

Peak list (6 most intense, 2θ from 10° to 80°, by intensity)
d (Å), two_theta, I/Imax
2.276, 39.59, 100
2.202, 40.98, 45
3.114, 28.66, 37
1.285, 73.72, 31
3.335, 26.73, 22
1.329, 70.89, 18

Crystal structure
```
data_Sc3GaIr4
_chemical_formula_sum 'Sc3 Ga1 Ir4'
_cell_length_a 3.335
_cell_length_b 4.406
_cell_length_c 8.806
_cell_angle_alpha 90.00
_cell_angle_beta 90.00
_cell_angle_gamma 90.00
_space_group_name_H-M_alt 'P 1'
_space_group_IT_number 1
loop_
_space_group_symop_operation_xyz
'x,y,z'
loop_
_atom_site_label
_atom_site_type_symbol
_atom_site_fract_x
_atom_site_fract_y
_atom_site_fract_z
Sc1 Sc 0.000 0.000 0.000
Sc2 Sc 0.000 0.500 0.257
Sc3 Sc 0.000 0.500 0.743
Ga1 Ga 0.000 0.000 0.500
Ir1 Ir 0.500 0.000 0.260
Ir2 Ir 0.500 0.000 0.740
Ir3 Ir 0.500 0.500 0.000
Ir4 Ir 0.500 0.500 0.500
```

=====

[6]
Computed XRD peak list of Np2Se3 for Cu Kα (weighted mean of Kα1 and Kα2), from DFT lattice parameters and positions (GGA-PBE).
Kinematic intensities with the Lorentz-polarization factor, no thermal factor.

Peak list (6 most intense, 2θ from 10° to 80°, by intensity)
d (Å), two_theta, I/Imax
3.880, 22.92, 100
2.439, 36.84, 93
2.624, 34.17, 86
3.117, 28.64, 79
2.025, 44.75, 73
2.802, 31.94, 69

Crystal structure
```
data_Np2Se3
_chemical_formula_sum 'Np8 Se12'
_cell_length_a 11.078
_cell_length_b 4.051
_cell_length_c 10.874
_cell_angle_alpha 90.00
_cell_angle_beta 90.00
_cell_angle_gamma 90.00
_space_group_name_H-M_alt 'P 1'
_space_group_IT_number 1
loop_
_space_group_symop_operation_xyz
'x,y,z'
loop_
_atom_site_label
_atom_site_type_symbol
_atom_site_fract_x
_atom_site_fract_y
_atom_site_fract_z
Np1 Np 0.008 0.250 0.183
Np2 Np 0.188 0.250 0.507
Np3 Np 0.312 0.750 0.007
Np4 Np 0.492 0.750 0.683
Np5 Np 0.508 0.250 0.317
Np6 Np 0.688 0.250 0.993
Np7 Np 0.812 0.750 0.493
Np8 Np 0.992 0.750 0.817
Se1 Se 0.050 0.750 0.369
Se2 Se 0.125 0.250 0.944
Se3 Se 0.229 0.750 0.703
Se4 Se 0.271 0.250 0.203
Se5 Se 0.375 0.750 0.444
Se6 Se 0.450 0.250 0.869
Se7 Se 0.550 0.750 0.131
Se8 Se 0.625 0.250 0.556
Se9 Se 0.729 0.750 0.797
Se10 Se 0.771 0.250 0.297
Se11 Se 0.875 0.750 0.056
Se12 Se 0.950 0.250 0.631
```

=====

[7]
Computed XRD peak list of AcIn3Cl6 for Cu Kα (weighted mean of Kα1 and Kα2), from DFT lattice parameters and positions (GGA-PBE).
Kinematic intensities with the Lorentz-polarization factor, no thermal factor.

Peak list (6 most intense, 2θ from 10° to 80°, by intensity)
d (Å), two_theta, I/Imax
4.046, 21.97, 100
3.890, 22.86, 95
2.835, 31.56, 51
2.195, 41.12, 49
4.214, 21.08, 45
2.775, 32.26, 42

Crystal structure
```
data_AcIn3Cl6
_chemical_formula_sum 'Ac2 In6 Cl12'
_cell_length_a 7.674
_cell_length_b 8.428
_cell_length_c 13.167
_cell_angle_alpha 90.00
_cell_angle_beta 122.54
_cell_angle_gamma 90.00
_space_group_name_H-M_alt 'P 1'
_space_group_IT_number 1
loop_
_space_group_symop_operation_xyz
'x,y,z'
loop_
_atom_site_label
_atom_site_type_symbol
_atom_site_fract_x
_atom_site_fract_y
_atom_site_fract_z
Ac1 Ac 0.000 0.000 0.000
Ac2 Ac 0.000 0.500 0.500
In1 In 0.293 0.064 0.774
In2 In 0.293 0.436 0.274
In3 In 0.500 0.000 0.500
In4 In 0.500 0.500 0.000
In5 In 0.707 0.564 0.726
In6 In 0.707 0.936 0.226
Cl1 Cl 0.085 0.078 0.237
Cl2 Cl 0.085 0.422 0.737
Cl3 Cl 0.261 0.722 0.094
Cl4 Cl 0.261 0.778 0.594
Cl5 Cl 0.364 0.162 0.040
Cl6 Cl 0.364 0.338 0.540
Cl7 Cl 0.636 0.662 0.460
Cl8 Cl 0.636 0.838 0.960
Cl9 Cl 0.739 0.222 0.406
Cl10 Cl 0.739 0.278 0.906
Cl11 Cl 0.915 0.578 0.263
Cl12 Cl 0.915 0.922 0.763
```

=====

[8]
Computed XRD peak list of Pu3Be2Si3 for Cu Kα (weighted mean of Kα1 and Kα2), from DFT lattice parameters and positions (GGA-PBE).
Kinematic intensities with the Lorentz-polarization factor, no thermal factor.

Peak list (6 most intense, 2θ from 10° to 80°, by intensity)
d (Å), two_theta, I/Imax
3.535, 25.19, 100
2.560, 35.06, 92
2.599, 34.50, 41
2.903, 30.80, 34
3.255, 27.40, 33
1.721, 53.22, 25

Crystal structure
```
data_Pu3Be2Si3
_chemical_formula_sum 'Pu6 Be4 Si6'
_cell_length_a 5.586
_cell_length_b 5.586
_cell_length_c 14.366
_cell_angle_alpha 90.00
_cell_angle_beta 90.00
_cell_angle_gamma 139.18
_space_group_name_H-M_alt 'P 1'
_space_group_IT_number 1
loop_
_space_group_symop_operation_xyz
'x,y,z'
loop_
_atom_site_label
_atom_site_type_symbol
_atom_site_fract_x
_atom_site_fract_y
_atom_site_fract_z
Pu1 Pu 0.041 0.959 0.750
Pu2 Pu 0.362 0.638 0.603
Pu3 Pu 0.362 0.638 0.897
Pu4 Pu 0.638 0.362 0.103
Pu5 Pu 0.638 0.362 0.397
Pu6 Pu 0.959 0.041 0.250
Be1 Be 0.352 0.648 0.113
Be2 Be 0.352 0.648 0.387
Be3 Be 0.648 0.352 0.613
Be4 Be 0.648 0.352 0.887
Si1 Si 0.089 0.911 0.551
Si2 Si 0.089 0.911 0.949
Si3 Si 0.242 0.758 0.250
Si4 Si 0.758 0.242 0.750
Si5 Si 0.911 0.089 0.051
Si6 Si 0.911 0.089 0.449
```